Calculated PXRD pattern
Compound: NdErZn2Pb2
Radiation: copper Kα
Structure: a cell relaxed with GGA-PBE
Lines closer than 0.1° are merged.

Atomic structure:
```
NdErZn2Pb2
1.0
4.6329 0.0000 0.0000
-2.3164 4.0122 0.0000
0.0000 0.0000 16.1039
Nd Er Zn Pb
2 2 4 4
direct
0.0000 0.0000 0.2500
0.0000 0.0000 0.7500
0.0000 0.0000 0.0000
0.0000 0.0000 0.5000
0.3333 0.6667 0.1616
0.3333 0.6667 0.3384
0.6667 0.3333 0.6616
0.6667 0.3333 0.8384
0.3333 0.6667 0.6067
0.3333 0.6667 0.8933
0.6667 0.3333 0.1067
0.6667 0.3333 0.3933
```

Most intense lines, 2θ = 10–90°, sorted by position:
27.76 deg, 3.214 Å, rel. 45; 31.48 deg, 2.842 Å, rel. 100; 38.88 deg, 2.316 Å, rel. 74; 45.45 deg, 1.996 Å, rel. 25; 50.85 deg, 1.796 Å, rel. 26; 60.98 deg, 1.519 Å, rel. 15; 61.32 deg, 1.512 Å, rel. 12; 65.80 deg, 1.419 Å, rel. 26; 70.40 deg, 1.337 Å, rel. 13; 75.02 deg, 1.266 Å, rel. 12